Calculated powder XRD pattern
Compound: PmDyEr2S4
Radiation: Cu Kα (weighted mean of Kα1 and Kα2)
Structure: a GGA-PBE-relaxed structure
No peak broadening, texture or thermal motion is included.

Largest 6 diffraction maxima, by intensity, 10° ≤ 2θ ≤ 90°:
2θ = 32.32°, intensity 100
2θ = 28.11°, intensity 40
2θ = 46.18°, intensity 24
2θ = 46.52°, intensity 24
2θ = 27.54°, intensity 21
2θ = 27.81°, intensity 21

Cell lengths 6.782, 3.872, 6.846 Å; angles 90.00, 108.90, 90.00 degrees
Sites, in units of the cell vectors:
Pm (0.000, 0.000, 0.000)
Dy (0.500, 0.500, 0.000)
Er (0.000, 0.500, 0.500)
Er (0.500, 0.000, 0.500)
S (0.252, 0.000, 0.742)
S (0.259, 0.500, 0.262)
S (0.741, 0.500, 0.738)
S (0.748, 0.000, 0.258)

=====

Calculated powder XRD pattern
Compound: Pm4DyErS8
Radiation: Cu Kα (weighted mean of Kα1 and Kα2)
Structure: a GGA-PBE-relaxed structure
No peak broadening, texture or thermal motion is included.

Largest 6 diffraction maxima, by intensity, 10° ≤ 2θ ≤ 90°:
2θ = 25.50°, intensity 100
2θ = 44.22°, intensity 58
2θ = 40.45°, intensity 43
2θ = 21.69°, intensity 28
2θ = 61.44°, intensity 19
2θ = 30.87°, intensity 18

Cell lengths 8.187, 8.187, 8.187 Å; angles 60.11, 60.11, 60.11 degrees
Sites, in units of the cell vectors:
Pm (0.000, 0.000, 0.000)
Pm (0.128, 0.623, 0.623)
Pm (0.623, 0.128, 0.623)
Pm (0.623, 0.623, 0.128)
Dy (0.623, 0.623, 0.623)
Er (0.249, 0.249, 0.249)
S (0.377, 0.377, 0.377)
S (0.383, 0.383, 0.860)
S (0.383, 0.860, 0.383)
S (0.402, 0.861, 0.861)
S (0.860, 0.383, 0.383)
S (0.861, 0.402, 0.861)
S (0.861, 0.861, 0.402)
S (0.867, 0.867, 0.867)

=====

Calculated powder XRD pattern
Compound: Pm2Dy2ErSc2
Radiation: Cu Kα (weighted mean of Kα1 and Kα2)
Structure: a GGA-PBE-relaxed structure
No peak broadening, texture or thermal motion is included.

Largest 6 diffraction maxima, by intensity, 10° ≤ 2θ ≤ 90°:
2θ = 31.42°, intensity 100
2θ = 36.49°, intensity 33
2θ = 52.44°, intensity 23
2θ = 36.33°, intensity 18
2θ = 62.32°, intensity 14
2θ = 62.47°, intensity 14

Cell lengths 11.024, 4.946, 7.777 Å; angles 90.00, 98.09, 90.00 degrees
Sites, in units of the cell vectors:
Pm (0.213, 0.000, 0.151)
Pm (0.287, 0.500, 0.849)
Pm (0.713, 0.500, 0.151)
Pm (0.787, 0.000, 0.849)
Dy (0.074, 0.000, 0.707)
Dy (0.426, 0.500, 0.293)
Dy (0.574, 0.500, 0.707)
Dy (0.926, 0.000, 0.293)
Er (0.000, 0.500, 0.000)
Er (0.500, 0.000, 0.000)
Sc (0.142, 0.500, 0.430)
Sc (0.358, 0.000, 0.570)
Sc (0.642, 0.000, 0.430)
Sc (0.858, 0.500, 0.570)

=====

Calculated powder XRD pattern
Compound: PmDyErSc
Radiation: Cu Kα (weighted mean of Kα1 and Kα2)
Structure: a GGA-PBE-relaxed structure
No peak broadening, texture or thermal motion is included.

Largest 6 diffraction maxima, by intensity, 10° ≤ 2θ ≤ 90°:
2θ = 32.59°, intensity 100
2θ = 31.85°, intensity 28
2θ = 57.24°, intensity 26
2θ = 31.16°, intensity 25
2θ = 45.16°, intensity 18
2θ = 56.36°, intensity 15

Cell lengths 12.082, 5.619, 3.767 Å; angles 90.00, 108.12, 90.00 degrees
Sites, in units of the cell vectors:
Pm (0.000, 0.000, 0.000)
Pm (0.500, 0.500, 0.000)
Dy (0.229, 0.500, 0.222)
Dy (0.729, 0.000, 0.222)
Er (0.267, 0.000, 0.760)
Er (0.767, 0.500, 0.760)
Sc (0.497, 0.000, 0.492)
Sc (0.997, 0.500, 0.492)

=====

Calculated powder XRD pattern
Compound: Pm2Dy3ErSe6
Radiation: Cu Kα (weighted mean of Kα1 and Kα2)
Structure: a GGA-PBE-relaxed structure
No peak broadening, texture or thermal motion is included.

Largest 6 diffraction maxima, by intensity, 10° ≤ 2θ ≤ 90°:
2θ = 30.76°, intensity 100
2θ = 44.07°, intensity 49
2θ = 72.78°, intensity 22
2θ = 54.49°, intensity 13
2θ = 54.92°, intensity 13
2θ = 43.79°, intensity 13

Cell lengths 9.184, 9.184, 8.269 Å; angles 103.03, 103.03, 25.73 degrees
Sites, in units of the cell vectors:
Pm (0.169, 0.169, 0.337)
Pm (0.831, 0.831, 0.663)
Dy (0.171, 0.171, 0.833)
Dy (0.500, 0.500, 0.500)
Dy (0.829, 0.829, 0.167)
Er (0.500, 0.500, 0.000)
Se (0.003, 0.003, 0.755)
Se (0.336, 0.336, 0.926)
Se (0.337, 0.337, 0.411)
Se (0.663, 0.663, 0.589)
Se (0.664, 0.664, 0.074)
Se (0.997, 0.997, 0.245)

=====

Calculated powder XRD pattern
Compound: Pm4DyErSe8
Radiation: Cu Kα (weighted mean of Kα1 and Kα2)
Structure: a GGA-PBE-relaxed structure
No peak broadening, texture or thermal motion is included.

Largest 6 diffraction maxima, by intensity, 10° ≤ 2θ ≤ 90°:
2θ = 42.25°, intensity 100
2θ = 24.40°, intensity 95
2θ = 29.53°, intensity 48
2θ = 38.66°, intensity 48
2θ = 20.76°, intensity 27
2θ = 77.22°, intensity 24

Cell lengths 8.550, 8.550, 8.550 Å; angles 60.09, 60.09, 60.09 degrees
Sites, in units of the cell vectors:
Pm (0.000, 0.000, 0.000)
Pm (0.128, 0.623, 0.623)
Pm (0.623, 0.128, 0.623)
Pm (0.623, 0.623, 0.128)
Dy (0.623, 0.623, 0.623)
Er (0.249, 0.249, 0.249)
Se (0.377, 0.377, 0.377)
Se (0.383, 0.383, 0.859)
Se (0.383, 0.859, 0.383)
Se (0.401, 0.861, 0.861)
Se (0.859, 0.383, 0.383)
Se (0.861, 0.401, 0.861)
Se (0.861, 0.861, 0.401)
Se (0.867, 0.867, 0.867)

=====

Calculated powder XRD pattern
Compound: Pm2DyErSe5
Radiation: Cu Kα (weighted mean of Kα1 and Kα2)
Structure: a GGA-PBE-relaxed structure
No peak broadening, texture or thermal motion is included.

Largest 6 diffraction maxima, by intensity, 10° ≤ 2θ ≤ 90°:
2θ = 24.66°, intensity 100
2θ = 35.15°, intensity 85
2θ = 35.35°, intensity 42
2θ = 30.55°, intensity 35
2θ = 37.94°, intensity 32
2θ = 50.56°, intensity 30

Cell lengths 5.106, 5.106, 10.712 Å; angles 90.00, 90.00, 90.00 degrees
Sites, in units of the cell vectors:
Pm (0.000, 0.000, 0.175)
Pm (0.000, 0.000, 0.825)
Dy (0.500, 0.500, 0.500)
Er (0.500, 0.500, 0.000)
Se (0.000, 0.000, 0.500)
Se (0.000, 0.500, 0.000)
Se (0.500, 0.000, 0.000)
Se (0.500, 0.500, 0.253)
Se (0.500, 0.500, 0.747)

=====

Calculated powder XRD pattern
Compound: Pm2SmDy2Er2
Radiation: Cu Kα (weighted mean of Kα1 and Kα2)
Structure: a GGA-PBE-relaxed structure
No peak broadening, texture or thermal motion is included.

Largest 6 diffraction maxima, by intensity, 10° ≤ 2θ ≤ 90°:
2θ = 30.71°, intensity 100
2θ = 32.46°, intensity 68
2θ = 35.25°, intensity 49
2θ = 33.15°, intensity 37
2θ = 28.53°, intensity 35
2θ = 61.60°, intensity 29

Cell lengths 11.707, 3.522, 11.832 Å; angles 90.00, 109.25, 90.00 degrees
Sites, in units of the cell vectors:
Pm (0.170, 0.000, 0.083)
Pm (0.330, 0.500, 0.917)
Pm (0.670, 0.500, 0.083)
Pm (0.830, 0.000, 0.917)
Sm (0.000, 0.500, 0.500)
Sm (0.500, 0.000, 0.500)
Dy (0.051, 0.000, 0.771)
Dy (0.449, 0.500, 0.229)
Dy (0.551, 0.500, 0.771)
Dy (0.949, 0.000, 0.229)
Er (0.225, 0.500, 0.363)
Er (0.275, 0.000, 0.637)
Er (0.725, 0.000, 0.363)
Er (0.775, 0.500, 0.637)

=====

Calculated powder XRD pattern
Compound: Pm2SmDyEr6
Radiation: Cu Kα (weighted mean of Kα1 and Kα2)
Structure: a GGA-PBE-relaxed structure
No peak broadening, texture or thermal motion is included.

Largest 6 diffraction maxima, by intensity, 10° ≤ 2θ ≤ 90°:
2θ = 31.89°, intensity 100
2θ = 30.80°, intensity 94
2θ = 33.68°, intensity 80
2θ = 31.52°, intensity 77
2θ = 30.59°, intensity 65
2θ = 28.80°, intensity 56

Cell lengths 8.735, 8.735, 9.635 Å; angles 94.50, 94.50, 118.04 degrees
Sites, in units of the cell vectors:
Pm (0.194, 0.297, 0.043)
Pm (0.297, 0.194, 0.543)
Pm (0.703, 0.806, 0.457)
Pm (0.806, 0.703, 0.957)
Sm (0.019, 0.981, 0.250)
Sm (0.981, 0.019, 0.750)
Dy (0.407, 0.593, 0.750)
Dy (0.593, 0.407, 0.250)
Er (0.022, 0.573, 0.185)
Er (0.124, 0.742, 0.557)
Er (0.258, 0.876, 0.943)
Er (0.294, 0.506, 0.381)
Er (0.427, 0.978, 0.315)
Er (0.494, 0.706, 0.119)
Er (0.506, 0.294, 0.881)
Er (0.573, 0.022, 0.685)
Er (0.706, 0.494, 0.619)
Er (0.742, 0.124, 0.057)
Er (0.876, 0.258, 0.443)
Er (0.978, 0.427, 0.815)

=====

Calculated powder XRD pattern
Compound: Pm2Sm4Dy2Er
Radiation: Cu Kα (weighted mean of Kα1 and Kα2)
Structure: a GGA-PBE-relaxed structure
No peak broadening, texture or thermal motion is included.

Largest 6 diffraction maxima, by intensity, 10° ≤ 2θ ≤ 90°:
2θ = 30.99°, intensity 100
2θ = 31.66°, intensity 87
2θ = 31.21°, intensity 85
2θ = 32.41°, intensity 81
2θ = 31.98°, intensity 78
2θ = 29.53°, intensity 70

Cell lengths 6.059, 6.678, 8.585 Å; angles 80.20, 71.45, 65.50 degrees
Sites, in units of the cell vectors:
Pm (0.095, 0.315, 0.344)
Pm (0.905, 0.685, 0.656)
Sm (0.010, 0.128, 0.774)
Sm (0.326, 0.563, 0.873)
Sm (0.674, 0.437, 0.127)
Sm (0.990, 0.872, 0.226)
Dy (0.450, 0.780, 0.452)
Dy (0.550, 0.220, 0.548)
Er (0.500, 0.000, 0.000)

=====

Calculated powder XRD pattern
Compound: PmSm2Dy3Er6
Radiation: Cu Kα (weighted mean of Kα1 and Kα2)
Structure: a GGA-PBE-relaxed structure
No peak broadening, texture or thermal motion is included.

Largest 6 diffraction maxima, by intensity, 10° ≤ 2θ ≤ 90°:
2θ = 30.87°, intensity 100
2θ = 35.84°, intensity 67
2θ = 31.01°, intensity 33
2θ = 51.50°, intensity 24
2θ = 61.28°, intensity 24
2θ = 51.68°, intensity 24

Cell lengths 6.146, 6.146, 11.714 Å; angles 95.00, 95.00, 119.96 degrees
Sites, in units of the cell vectors:
Pm (0.000, 0.000, 0.000)
Sm (0.333, 0.667, 0.000)
Sm (0.667, 0.333, 0.000)
Dy (0.167, 0.833, 0.500)
Dy (0.500, 0.500, 0.500)
Dy (0.833, 0.167, 0.500)
Er (0.084, 0.418, 0.252)
Er (0.249, 0.249, 0.748)
Er (0.418, 0.084, 0.252)
Er (0.582, 0.916, 0.748)
Er (0.751, 0.751, 0.252)
Er (0.916, 0.582, 0.748)

=====

Calculated powder XRD pattern
Compound: TbPmDy2Er2
Radiation: Cu Kα (weighted mean of Kα1 and Kα2)
Structure: a GGA-PBE-relaxed structure
No peak broadening, texture or thermal motion is included.

Largest 6 diffraction maxima, by intensity, 10° ≤ 2θ ≤ 90°:
2θ = 29.13°, intensity 100
2θ = 30.45°, intensity 94
2θ = 30.26°, intensity 80
2θ = 41.35°, intensity 70
2θ = 34.10°, intensity 61
2θ = 31.45°, intensity 37

Cell lengths 6.534, 17.720, 3.382 Å; angles 90.00, 90.00, 90.00 degrees
Sites, in units of the cell vectors:
Tb (0.000, 0.000, 0.000)
Tb (0.500, 0.500, 0.500)
Pm (0.000, 0.500, 0.000)
Pm (0.500, 0.000, 0.500)
Dy (0.226, 0.315, 0.000)
Dy (0.274, 0.815, 0.500)
Dy (0.726, 0.185, 0.500)
Dy (0.774, 0.685, 0.000)
Er (0.224, 0.148, 0.500)
Er (0.276, 0.648, 0.000)
Er (0.724, 0.352, 0.000)
Er (0.776, 0.852, 0.500)